The following is a computed PXRD pattern of Pr2MgS4. It was derived from a crystal structure in the Materials Project, relaxed with GGA-PBE, using Cu Kα (weighted mean of Kα1 and Kα2).
Lines closer than 0.1° are merged.

Cell: 8.175 8.175 8.175 Å, 60.00 60.00 60.00°
Element x y z (fractional)
Pr (0.000, 0.000, 0.000)
Pr (0.000, 0.000, 0.500)
Pr (0.000, 0.500, 0.000)
Pr (0.500, 0.000, 0.000)
Mg (0.375, 0.375, 0.375)
Mg (0.625, 0.625, 0.625)
S (0.243, 0.752, 0.752)
S (0.248, 0.248, 0.248)
S (0.248, 0.248, 0.757)
S (0.248, 0.757, 0.248)
S (0.752, 0.243, 0.752)
S (0.752, 0.752, 0.243)
S (0.752, 0.752, 0.752)
S (0.757, 0.248, 0.248)

Largest 12 diffraction maxima, low angle first, 10 to 90 degrees two-theta:
- 2θ = 13.26°, rel. 95
- 2θ = 25.55°, rel. 100
- 2θ = 26.71°, rel. 25
- 2θ = 30.94°, rel. 93
- 2θ = 33.79°, rel. 27
- 2θ = 40.54°, rel. 41
- 2θ = 44.32°, rel. 85
- 2θ = 46.47°, rel. 25
- 2θ = 55.03°, rel. 23
- 2θ = 61.62°, rel. 25
- 2θ = 73.23°, rel. 29
- 2θ = 81.59°, rel. 28